Record 1
Structure and calculated X-ray powder pattern of PmHg3Pd3 (a cell relaxed with PBE; Cu Ka).

Peak list (10 most intense, 2θ = 5–70°, sorted by position)
| d (Å) | 2θ/deg | I_rel | (hkl) |
| --- | --- | --- | --- |
| 3.144 | 28.39 | 49 | 1 1 3 |
| 2.628 | 34.12 | 37 | 0 2 4 |
| 2.601 | 34.48 | 28 | 1 0 7 |
| 2.446 | 36.74 | 18 | 2 0 5 |
| 2.439 | 36.85 | 100 | 2 -1 6 |
| 2.316 | 38.88 | 74 | 2 1 1 |
| 2.271 | 39.68 | 43 | 1 2 2 |
| 1.947 | 46.66 | 14 | 2 0 8 |
| 1.574 | 58.66 | 16 | 4 -1 5 |
| 1.469 | 63.29 | 20 | 1 3 7 |

Structure:
Lattice parameters (Å, degrees): 7.1236 7.1236 20.0791 90.00 90.00 120.00
Space group R-3 (No. 148, hexagonal axes)
Symmetry-distinct sites (fractional):
Pm: 0.0000 0.0000 0.1592 [6 per cell]
Hg: 0.0395 0.4324 0.3758 [18 per cell]
Pd: 0.0092 0.2376 0.5570 [18 per cell]

=====

Record 2
Structure and calculated X-ray powder pattern of Pm3HgPd4 (a cell relaxed with PBE; Cu Ka).

Peak list (10 most intense, 2θ = 5–70°, sorted by position)
| d (Å) | 2θ/deg | I_rel | (hkl) |
| --- | --- | --- | --- |
| 3.018 | 29.60 | 47 | 2 0 0 |
| 2.992 | 29.86 | 47 | 0 3 1 |
| 2.919 | 30.63 | 16 | 0 0 2 |
| 2.614 | 34.31 | 52 | 0 4 0 |
| 2.597 | 34.54 | 54 | 2 1 1 |
| 2.549 | 35.21 | 100 | 0 2 2 |
| 2.125 | 42.55 | 79 | 2 3 1 |
| 2.098 | 43.11 | 35 | 2 0 2 |
| 1.947 | 46.65 | 17 | 2 2 2 |
| 1.636 | 56.22 | 27 | 1 5 2 |

Structure:
Lattice parameters (Å, degrees): 6.0352 10.4548 5.8383 90.00 90.00 90.00
Space group Imm2 (No. 44)
Symmetry-distinct sites (fractional):
Pm: 0.0000 0.0000 0.0000 [2 per cell]
Pm: 0.0000 0.3063 0.7723 [4 per cell]
Hg: 0.0000 0.5000 0.3577 [2 per cell]
Pd: 0.0000 0.2264 0.2756 [4 per cell]
Pd: 0.2186 0.0000 0.4874 [4 per cell]

=====

Record 3
Structure and calculated X-ray powder pattern of PmSi2HgPd5 (a cell relaxed with PBE; Cu Ka).

Peak list (10 most intense, 2θ = 5–70°, sorted by position)
| d (Å) | 2θ/deg | I_rel | (hkl) |
| --- | --- | --- | --- |
| 4.294 | 20.68 | 8 | 1 0 0 |
| 3.842 | 23.15 | 6 | 1 0 1 |
| 3.038 | 29.40 | 14 | 1 0 2 |
| 2.480 | 36.22 | 100 | 1 1 2 |
| 2.384 | 37.73 | 5 | 1 0 3 |
| 2.148 | 42.07 | 52 | 2 0 0 |
| 1.922 | 47.30 | 7 | 1 0 4 |
| 1.753 | 52.16 | 6 | 2 1 2 |
| 1.519 | 61.01 | 32 | 2 2 0 |
| 1.432 | 65.14 | 5 | 2 1 4 |

Structure:
Lattice parameters (Å, degrees): 4.2943 4.2943 8.5987 90.00 90.00 90.00
Space group P4/mmm (No. 123)
Symmetry-distinct sites (fractional):
Pm: 0.0000 0.0000 0.0000 [1 per cell]
Si: 0.5000 0.5000 0.3657 [2 per cell]
Hg: 0.0000 0.0000 0.5000 [1 per cell]
Pd: 0.0000 0.5000 0.2423 [4 per cell]
Pd: 0.5000 0.5000 0.0000 [1 per cell]

=====

Record 4
Structure and calculated X-ray powder pattern of PmSmHgPd (a cell relaxed with PBE; Cu Ka).

Peak list (10 most intense, 2θ = 5–70°, sorted by position)
| d (Å) | 2θ/deg | I_rel | (hkl) |
| --- | --- | --- | --- |
| 2.915 | 30.67 | 100 | 1 1 1 |
| 2.815 | 31.78 | 28 | 0 0 4 |
| 2.707 | 33.10 | 21 | 0 1 3 |
| 2.423 | 37.11 | 29 | 1 0 4 |
| 2.378 | 37.84 | 34 | 2 0 0 |
| 2.352 | 38.26 | 74 | 1 1 3 |
| 1.953 | 46.51 | 23 | 0 2 0 |
| 1.817 | 50.22 | 16 | 2 0 4 |
| 1.509 | 61.45 | 20 | 2 2 0 |
| 1.488 | 62.43 | 14 | 0 1 7 |

Structure:
Lattice parameters (Å, degrees): 4.7552 3.9059 11.2617 90.00 90.00 90.00
Space group Amm2 (No. 38)
Symmetry-distinct sites (fractional):
Pm: 0.0000 0.0000 0.0000 [2 per cell]
Sm: 0.5000 0.0000 0.2804 [2 per cell]
Hg: 0.5000 0.0000 0.5591 [2 per cell]
Pd: 0.0000 0.0000 0.7252 [2 per cell]

=====

Record 5
Structure and calculated X-ray powder pattern of TbPmHgPd (a cell relaxed with PBE; Cu Ka).

Peak list (10 most intense, 2θ = 5–70°, sorted by position)
| d (Å) | 2θ/deg | I_rel | (hkl) |
| --- | --- | --- | --- |
| 2.897 | 30.87 | 100 | 1 1 1 |
| 2.782 | 32.18 | 27 | 0 0 4 |
| 2.679 | 33.45 | 22 | 0 1 3 |
| 2.400 | 37.48 | 29 | 1 0 4 |
| 2.372 | 37.92 | 35 | 2 0 0 |
| 2.333 | 38.60 | 71 | 1 1 3 |
| 1.936 | 46.92 | 19 | 0 2 0 |
| 1.805 | 50.57 | 15 | 2 0 4 |
| 1.507 | 61.54 | 14 | 1 2 4 |
| 1.500 | 61.85 | 17 | 2 2 0 |

Structure:
Lattice parameters (Å, degrees): 4.7449 3.8729 11.1260 90.00 90.00 90.00
Space group Amm2 (No. 38)
Symmetry-distinct sites (fractional):
Tb: 0.0000 0.0000 0.0000 [2 per cell]
Pm: 0.5000 0.0000 0.7176 [2 per cell]
Hg: 0.0000 0.0000 0.2793 [2 per cell]
Pd: 0.5000 0.0000 0.4460 [2 per cell]

=====

Record 6
Structure and calculated X-ray powder pattern of Pr3HgPd (a cell relaxed with PBE; Cu Ka).

Peak list (10 most intense, 2θ = 5–70°, sorted by position)
| d (Å) | 2θ/deg | I_rel | (hkl) |
| --- | --- | --- | --- |
| 5.564 | 15.93 | 23 | 0 1 1 |
| 3.007 | 29.71 | 47 | 2 2 -1 |
| 2.997 | 29.81 | 46 | 1 1 2 |
| 2.832 | 31.60 | 23 | 3 1 0 |
| 2.786 | 32.13 | 100 | 3 1 -2 |
| 2.667 | 33.60 | 67 | 1 1 -3 |
| 2.583 | 34.73 | 81 | 2 2 1 |
| 2.447 | 36.72 | 72 | 1 3 -1 |
| 2.279 | 39.54 | 21 | 4 0 0 |
| 1.768 | 51.70 | 24 | 1 1 4 |

Structure:
Lattice parameters (Å, degrees): 9.7717 7.7697 8.5409 90.00 111.01 90.00
Space group P2_1/c (No. 14)
Symmetry-distinct sites (fractional):
Pr: 0.0717 0.0173 0.2138 [4 per cell]
Pr: 0.3120 0.1606 0.6097 [4 per cell]
Pr: 0.3580 0.6779 0.4817 [4 per cell]
Hg: 0.0878 0.6654 0.0591 [4 per cell]
Pd: 0.4142 0.0359 0.3206 [4 per cell]

=====

Record 7
Structure and calculated X-ray powder pattern of PrHgPd2 (a cell relaxed with PBE; Cu Ka).

Peak list (10 most intense, 2θ = 5–70°, sorted by position)
| d (Å) | 2θ/deg | I_rel | (hkl) |
| --- | --- | --- | --- |
| 3.105 | 28.76 | 57 | 1 1 1 |
| 2.781 | 32.19 | 74 | 2 0 0 |
| 2.592 | 34.60 | 19 | 2 0 1 |
| 2.489 | 36.09 | 100 | 1 1 2 |
| 2.231 | 40.43 | 56 | 2 1 1 |
| 2.206 | 40.91 | 33 | 1 0 3 |
| 2.190 | 41.22 | 45 | 0 2 0 |
| 2.107 | 42.92 | 19 | 0 1 3 |
| 1.554 | 59.50 | 34 | 1 2 3 |
| 1.542 | 60.00 | 23 | 3 1 2 |

Structure:
Lattice parameters (Å, degrees): 5.5558 4.3804 7.2109 90.00 90.00 90.00
Space group Pmma (No. 51)
Symmetry-distinct sites (fractional):
Pr: 0.2500 0.0000 0.2270 [2 per cell]
Hg: 0.2500 0.5000 0.8792 [2 per cell]
Pd: 0.0000 0.5000 0.5000 [2 per cell]
Pd: 0.2500 0.0000 0.6375 [2 per cell]

=====

Record 8
Structure and calculated X-ray powder pattern of PrHgPd (a cell relaxed with PBE; Cu Ka).

Peak list (10 most intense, 2θ = 5–70°, sorted by position)
| d (Å) | 2θ/deg | I_rel | (hkl) |
| --- | --- | --- | --- |
| 2.803 | 31.93 | 100 | 1 1 1 |
| 2.590 | 34.63 | 63 | 2 0 1 |
| 2.560 | 35.05 | 51 | 2 1 0 |
| 2.258 | 39.92 | 36 | 3 0 0 |
| 2.159 | 41.83 | 29 | 2 1 1 |
| 2.009 | 45.12 | 22 | 0 0 2 |
| 1.702 | 53.86 | 9 | 3 1 1 |
| 1.581 | 58.38 | 24 | 2 1 2 |
| 1.501 | 61.80 | 20 | 3 0 2 |
| 1.450 | 64.26 | 32 | 3 2 1 |

Structure:
Lattice parameters (Å, degrees): 7.8224 7.8224 4.0188 90.00 90.00 120.00
Space group P-62m (No. 189)
Symmetry-distinct sites (fractional):
Pr: 0.0000 0.5987 0.0000 [3 per cell]
Hg: 0.0000 0.2612 0.5000 [3 per cell]
Pd: 0.0000 0.0000 0.0000 [1 per cell]
Pd: 0.3333 0.6667 0.5000 [2 per cell]

=====

Record 9
Structure and calculated X-ray powder pattern of PrHgPd6 (a cell relaxed with PBE; Cu Ka).

Peak list (10 most intense, 2θ = 5–70°, sorted by position)
| d (Å) | 2θ/deg | I_rel | (hkl) |
| --- | --- | --- | --- |
| 5.269 | 16.83 | 3 | 1 0 0 |
| 3.726 | 23.88 | 10 | 1 1 0 |
| 2.635 | 34.03 | 45 | 2 0 0 |
| 2.356 | 38.19 | 80 | 2 0 1 |
| 2.151 | 42.00 | 100 | 2 1 1 |
| 1.863 | 48.89 | 2 | 2 2 0 |
| 1.666 | 55.12 | 3 | 3 0 1 |
| 1.521 | 60.91 | 3 | 2 2 2 |
| 1.461 | 63.68 | 17 | 3 2 0 |
| 1.408 | 66.38 | 51 | 3 2 1 |

Structure:
Lattice parameters (Å, degrees): 5.2691 5.2691 5.2691 90.00 90.00 90.00
Space group Pm-3 (No. 200)
Symmetry-distinct sites (fractional):
Pr: 0.0000 0.0000 0.0000 [1 per cell]
Hg: 0.5000 0.5000 0.5000 [1 per cell]
Pd: 0.0000 0.2544 0.5000 [6 per cell]

=====

Record 10
Structure and calculated X-ray powder pattern of PrHg6Pd6 (a cell relaxed with PBE; Cu Ka).

Peak list (10 most intense, 2θ = 5–70°, sorted by position)
| d (Å) | 2θ/deg | I_rel | (hkl) |
| --- | --- | --- | --- |
| 2.828 | 31.64 | 100 | 2 0 0 |
| 2.449 | 36.69 | 35 | 0 0 4 |
| 2.421 | 37.13 | 97 | 2 2 0 |
| 2.388 | 37.67 | 32 | 1 3 2 |
| 2.343 | 38.43 | 29 | 0 4 0 |
| 2.170 | 41.61 | 90 | 2 2 2 |
| 2.113 | 42.79 | 35 | 0 4 2 |
| 1.453 | 64.11 | 20 | 1 4 5 |
| 1.415 | 66.03 | 24 | 2 0 6 |
| 1.367 | 68.65 | 42 | 2 6 0 |

Structure:
Lattice parameters (Å, degrees): 5.6489 9.3705 9.8091 90.00 90.00 90.00
Space group Immm (No. 71)
Symmetry-distinct sites (fractional):
Pr: 0.0000 0.0000 0.0000 [2 per cell]
Hg: 0.0000 0.0000 0.3425 [4 per cell]
Hg: 0.0000 0.3366 0.0000 [4 per cell]
Hg: 0.0000 0.5000 0.3194 [4 per cell]
Pd: 0.0000 0.2629 0.5000 [4 per cell]
Pd: 0.2500 0.2500 0.2500 [8 per cell]

=====

Record 11
Structure and calculated X-ray powder pattern of Pr7Hg2Pd2 (a cell relaxed with PBE; Cu Ka).

Peak list (10 most intense, 2θ = 5–70°, sorted by position)
| d (Å) | 2θ/deg | I_rel | (hkl) |
| --- | --- | --- | --- |
| 4.545 | 19.53 | 31 | 0 2 1 |
| 3.610 | 24.66 | 42 | 2 0 1 |
| 3.350 | 26.61 | 28 | 2 2 0 |
| 3.255 | 27.40 | 49 | 1 1 2 |
| 3.124 | 28.57 | 29 | 0 2 2 |
| 2.868 | 31.18 | 66 | 0 4 0 |
| 2.539 | 35.35 | 48 | 1 3 2 |
| 2.491 | 36.06 | 100 | 2 2 2 |
| 2.139 | 42.25 | 25 | 3 3 1 |
| 1.862 | 48.91 | 21 | 0 0 4 |

Structure:
Lattice parameters (Å, degrees): 8.2526 11.4732 7.4496 90.00 90.00 90.00
Space group Cmmm (No. 65)
Symmetry-distinct sites (fractional):
Pr: 0.0000 0.0000 0.0000 [2 per cell]
Pr: 0.0000 0.5000 0.2532 [4 per cell]
Pr: 0.2500 0.2500 0.2614 [8 per cell]
Hg: 0.1752 0.0000 0.5000 [4 per cell]
Pd: 0.0000 0.2909 0.0000 [4 per cell]

=====

Record 12
Structure and calculated X-ray powder pattern of Pr3HgPd2 (a cell relaxed with PBE; Cu Ka).

Peak list (10 most intense, 2θ = 5–70°, sorted by position)
| d (Å) | 2θ/deg | I_rel | (hkl) |
| --- | --- | --- | --- |
| 3.878 | 22.93 | 23 | 1 1 0 |
| 3.348 | 26.62 | 75 | 1 1 3 |
| 3.182 | 28.04 | 18 | 2 0 2 |
| 2.521 | 35.62 | 100 | 1 1 6 |
| 2.460 | 36.53 | 13 | 1 2 2 |
| 2.333 | 38.58 | 18 | 0 1 8 |
| 2.239 | 40.28 | 59 | 3 0 0 |
| 1.921 | 47.31 | 16 | 1 1 9 |
| 1.674 | 54.84 | 24 | 2 2 6 |
| 1.491 | 62.25 | 12 | 3 1 8 |

Structure:
Lattice parameters (Å, degrees): 7.7562 7.7562 19.9068 90.00 90.00 120.00
Space group R-3c (No. 167, hexagonal axes)
Symmetry-distinct sites (fractional):
Pr: 0.0000 0.2877 0.2500 [18 per cell]
Hg: 0.0000 0.0000 0.0000 [6 per cell]
Pd: 0.0000 0.0000 0.1461 [12 per cell]

=====

Record 13
Structure and calculated X-ray powder pattern of Pr4Hg5Pd2 (a cell relaxed with PBE; Cu Ka).

Peak list (10 most intense, 2θ = 5–70°, sorted by position)
| d (Å) | 2θ/deg | I_rel | (hkl) |
| --- | --- | --- | --- |
| 3.836 | 23.19 | 44 | 0 1 0 |
| 2.911 | 30.71 | 49 | 1 0 3 |
| 2.849 | 31.40 | 93 | 1 1 -2 |
| 2.766 | 32.37 | 99 | 1 1 2 |
| 2.737 | 32.72 | 76 | 2 1 0 |
| 2.602 | 34.47 | 100 | 3 0 0 |
| 2.406 | 37.38 | 40 | 2 0 3 |
| 2.362 | 38.09 | 53 | 1 0 -4 |
| 1.918 | 47.39 | 52 | 0 2 0 |
| 1.489 | 62.38 | 40 | 1 2 -4 |

Structure:
Lattice parameters (Å, degrees): 7.8312 3.8364 9.7107 90.00 94.09 90.00
Space group P2/m (No. 10)
Symmetry-distinct sites (fractional):
Pr: 0.1826 0.0000 0.3590 [2 per cell]
Pr: 0.2375 0.0000 0.9336 [2 per cell]
Hg: 0.1672 0.5000 0.6453 [2 per cell]
Hg: 0.4483 0.5000 0.1766 [2 per cell]
Hg: 0.5000 0.5000 0.5000 [1 per cell]
Pd: 0.0719 0.5000 0.1346 [2 per cell]

=====

Record 14
Structure and calculated X-ray powder pattern of HgPdPt4 (a cell relaxed with PBE; Cu Ka).

Peak list (10 most intense, 2θ = 5–70°, sorted by position)
| d (Å) | 2θ/deg | I_rel | (hkl) |
| --- | --- | --- | --- |
| 4.326 | 20.53 | 15 | 1 1 1 |
| 3.747 | 23.75 | 2 | 2 0 0 |
| 2.649 | 33.83 | 20 | 2 2 0 |
| 2.259 | 39.90 | 100 | 3 1 1 |
| 2.163 | 41.76 | 48 | 2 2 2 |
| 1.873 | 48.60 | 8 | 4 0 0 |
| 1.719 | 53.29 | 4 | 3 3 1 |
| 1.676 | 54.79 | 1 | 4 2 0 |
| 1.530 | 60.53 | 8 | 4 2 2 |
| 1.442 | 64.63 | 33 | 5 1 1 |

Structure:
Lattice parameters (Å, degrees): 7.4933 7.4933 7.4933 90.00 90.00 90.00
Space group F-43m (No. 216)
Symmetry-distinct sites (fractional):
Hg: 0.0000 0.0000 0.0000 [4 per cell]
Pd: 0.2500 0.2500 0.7500 [4 per cell]
Pt: 0.1247 0.1247 0.3753 [16 per cell]